Entry 1:
The following is a simulated powder diffractogram of Sn2HgPb5. It was derived from a cell relaxed with PBE, using Cu Ka.
No peak broadening, texture or thermal motion is included.

Peak list (10 most intense, 15 to 90 degrees two-theta, most intense first)
hkl 2 1 3, 2θ 31.11, I 100
hkl 3 1 0, 2θ 32.64, I 68
hkl 5 2 3, 2θ 61.51, I 23
hkl 1 1 4, 2θ 31.45, I 19
hkl 2 0 4, 2θ 34.77, I 14
hkl 3 1 6, 2θ 54.37, I 11
hkl 4 2 0, 2θ 46.84, I 11
hkl 2 2 0, 2θ 29.12, I 10
hkl 3 2 3, 2θ 43.13, I 9
hkl 7 3 0, 2θ 85.19, I 9

Crystal structure
```
data_Sn2HgPb5
_space_group_name_H-M_alt 'I 4/m c m'
_space_group_IT_number 140
_space_group_name_Hall '-I 4 2c'
_cell_length_a 8.6747
_cell_length_b 8.6747
_cell_length_c 12.8409
_cell_angle_alpha 90.00
_cell_angle_beta 90.00
_cell_angle_gamma 90.00
loop_
_atom_site_label
_atom_site_fract_x
_atom_site_fract_y
_atom_site_fract_z
Sn1 0.1435 0.3565 0.0000
Hg1 0.0000 0.0000 0.2500
Pb1 0.0000 0.0000 0.0000
Pb2 0.1470 0.3530 0.3409
```

=====

Entry 2:
The following is a simulated powder diffractogram of Sn4HgPb. It was derived from a cell relaxed with PBE, using Cu Ka.
No peak broadening, texture or thermal motion is included.

Peak list (10 most intense, 15 to 90 degrees two-theta, most intense first)
hkl 3 1 1, 2θ 33.35, I 100
hkl 2 2 0, 2θ 28.33, I 44
hkl 5 1 1, 2θ 53.43, I 36
hkl 4 4 0, 2θ 58.60, I 29
hkl 2 2 2, 2θ 34.88, I 25
hkl 7 3 1, 2θ 83.30, I 24
hkl 4 2 2, 2θ 50.16, I 19
hkl 5 3 3, 2θ 69.13, I 13
hkl 6 2 2, 2θ 70.04, I 11
hkl 6 4 2, 2θ 80.70, I 10

Crystal structure
```
data_Sn4HgPb
_space_group_name_H-M_alt 'F -4 3 m'
_space_group_IT_number 216
_space_group_name_Hall 'F -4 2 3'
_cell_length_a 8.9105
_cell_length_b 8.9105
_cell_length_c 8.9105
_cell_angle_alpha 90.00
_cell_angle_beta 90.00
_cell_angle_gamma 90.00
loop_
_atom_site_label
_atom_site_fract_x
_atom_site_fract_y
_atom_site_fract_z
Sn1 0.1251 0.1251 0.1251
Hg1 0.0000 0.0000 0.5000
Pb1 0.2500 0.2500 0.7500
```

=====

Q: Number 1 is which compound?
A: Sn2HgPb5